[1]
Computed X-ray powder pattern
Compound: K6CdPb8
Radiation: Cu Kα, 1.54184 Å
Structure: a cell relaxed with GGA-PBE
Lines closer than 0.1° are merged.

Atomic structure:
a b c (Å): 29.4122 7.0140 19.0130
angles (deg): 90.00 116.84 90.00
Space group C2/m (No. 12)
Symmetry-distinct sites (fractional):
K 0.0137 0.0000 0.2185 x4
K 0.0445 0.5000 0.1311 x4
K 0.0716 0.0000 0.4464 x4
K 0.0771 0.5000 0.8060 x4
K 0.0862 0.5000 0.6081 x4
K 0.1877 0.5000 0.1879 x4
K 0.2109 0.5000 0.9975 x4
K 0.2260 0.0000 0.5266 x4
K 0.2498 0.0000 0.3110 x4
Cd 0.0000 0.0000 0.0000 x2
Cd 0.1336 0.0000 0.8874 x4
Pb 0.0487 0.5000 0.3417 x4
Pb 0.0804 0.0000 0.7018 x4
Pb 0.0864 0.2440 0.9842 x8
Pb 0.1104 0.0000 0.1436 x4
Pb 0.1387 0.2647 0.3348 x8
Pb 0.1536 0.5000 0.4857 x4
Pb 0.1700 0.0000 0.6606 x4
Pb 0.1867 0.2421 0.8060 x8
Pb 0.1888 0.0000 0.0768 x4

Main lines, by angle (2θ = 10–90°):
13.50 deg, I 97.5, hkl 4 0 0
13.98 deg, I 56.9, hkl 2 0 -3
14.63 deg, I 46.7, hkl 1 1 1
29.51 deg, I 100.0, hkl 2 2 2
29.82 deg, I 60.5, hkl 4 2 -3
30.08 deg, I 57.9, hkl 3 1 4
31.63 deg, I 68.3, hkl 0 0 6
32.05 deg, I 74.0, hkl 10 0 -1

---

[2]
Computed X-ray powder pattern
Compound: KCdSb
Radiation: Cu Kα, 1.54184 Å
Structure: a cell relaxed with GGA-PBE
Lines closer than 0.1° are merged.

Atomic structure:
a b c (Å): 4.8522 4.8522 8.4082
angles (deg): 90.00 90.00 90.00
Space group P4/nmm (No. 129, origin choice 2)
Symmetry-distinct sites (fractional):
K 0.2500 0.2500 0.1572 x2
Cd 0.2500 0.7500 0.5000 x2
Sb 0.2500 0.2500 0.7117 x2

Main lines, by angle (2θ = 10–90°):
10.52 deg, I 97.9, hkl 0 0 1
21.14 deg, I 38.9, hkl 1 0 1
28.09 deg, I 59.4, hkl 1 1 1
33.72 deg, I 100.0, hkl 1 1 2
37.05 deg, I 64.8, hkl 2 0 0
41.61 deg, I 23.7, hkl 1 1 3
53.40 deg, I 26.1, hkl 2 2 0
64.67 deg, I 28.4, hkl 3 1 2